The following is a simulated PXRD pattern of Sr4MnFe3O12. It was derived from a DFT-relaxed cell (GGA+U, Alexandria), using Cu Kα, 1.54184 Å.

Most intense lines, 2θ from 10° to 80°, sorted by position:
| 2θ (°) | d [Å] | I_rel |
| --- | --- | --- |
| 22.71 | 3.915 | 1 |
| 32.34 | 2.768 | 100 |
| 39.88 | 2.260 | 14 |
| 46.39 | 1.957 | 39 |
| 52.25 | 1.751 | 1 |
| 57.68 | 1.598 | 38 |
| 67.69 | 1.384 | 22 |
| 72.42 | 1.305 | 1 |
| 77.03 | 1.238 | 16 |

Cell and atoms:
Unit cell a=7.8300 b=7.8300 c=7.8300 alpha=90.00 beta=90.00 gamma=90.00
Space group Im-3m (No. 229)
Unique sites:
Sr (0.2500, 0.2500, 0.2500)
Mn (0.0000, 0.0000, 0.0000)
Fe (0.0000, 0.0000, 0.5000)
O (0.0000, 0.0000, 0.2474)
O (0.0000, 0.2500, 0.5000)